[1]
Structure and simulated XRD peak list of TmHg4 (a structure optimized by DFT (PBE); a wavelength of 1.5418 Å).
No peak broadening, texture or thermal motion is included.

Atomic structure:
```
10
Lattice="8.428 0.000 0.000 0.000 5.141 0.000 -2.397 0.000 5.563" Properties=species:S:1:pos:R:3 pbc="T T T"
Tm 0.000 0.000 0.000
Tm 4.214 2.571 0.000
Hg -1.068 2.571 4.418
Hg 0.237 0.000 3.398
Hg 1.580 2.571 2.165
Hg 2.885 0.000 1.145
Hg 3.146 0.000 4.418
Hg 4.451 2.571 3.398
Hg 5.794 0.000 2.165
Hg 7.099 2.571 1.145
```

Largest 10 diffraction maxima, by intensity, 2θ from 10° to 90°:
34.4°, I 100
36.5°, I 86
33.0°, I 56
34.9°, I 48
48.8°, I 38
58.4°, I 22
62.3°, I 18
62.7°, I 18
63.6°, I 18
65.2°, I 16



[2]
Structure and simulated XRD peak list of AcSn12Os4 (a structure optimized by DFT (PBE); a wavelength of 1.5418 Å).
No peak broadening, texture or thermal motion is included.

Atomic structure:
```
17
Lattice="-4.783 4.783 4.783 4.783 -4.783 4.783 4.783 4.783 -4.783" Properties=species:S:1:pos:R:3 pbc="T T T"
Ac 0.000 0.000 0.000
Sn 3.211 0.000 1.591
Sn 6.354 0.000 1.591
Sn 4.783 3.192 -1.572
Sn 1.591 3.211 0.000
Sn 3.192 -1.572 4.783
Sn 4.783 3.192 1.572
Sn 0.000 1.591 3.211
Sn 1.591 6.354 0.000
Sn 3.192 1.572 4.783
Sn 0.000 1.591 6.354
Sn -1.572 4.783 3.192
Sn 1.572 4.783 3.192
Os 2.391 2.391 -2.391
Os 2.391 -2.391 2.391
Os -2.391 2.391 2.391
Os 2.391 2.391 2.391
```

Largest 10 diffraction maxima, by intensity, 2θ from 10° to 90°:
29.5°, I 100
46.5°, I 69
35.1°, I 58
42.3°, I 41
86.3°, I 33
26.4°, I 32
18.6°, I 27
48.5°, I 26
66.3°, I 21
56.1°, I 17